Record 1
Structure and theoretical X-ray diffraction stick pattern of HoErTlC (the GGA-PBE geometry in OQMD; Cu Kα).

Principal peaks in the range 2θ = 10–90°, low angle first:
2θ 28.7, rel. 18, (1 0 0)
2θ 33.3, rel. 100, (0 0 6)
2θ 44.5, rel. 13, (0 1 6)
2θ 50.9, rel. 17, (1 1 0)
2θ 59.4, rel. 16, (1 0 9)
2θ 62.2, rel. 32, (1 1 6)
2θ 82.0, rel. 6, (0 2 9)
2θ 84.5, rel. 12, (2 1 3)

Structure:
```
HoErTlC
1.0
3.5858 0.0000 0.0000
-1.7929 3.1054 0.0000
0.0000 0.0000 16.1756
Ho Er Tl C
2 2 2 2
Cartesian
0.0000 2.0703 6.7407
1.7929 1.0351 9.4350
0.0000 2.0703 1.3349
1.7929 1.0351 14.8408
0.0000 2.0703 12.1393
1.7929 1.0351 4.0363
0.0000 0.0000 0.0000
0.0000 0.0000 8.0878
```

---

Record 2
Structure and theoretical X-ray diffraction stick pattern of Dy4I4O3 (the GGA-PBE geometry in OQMD; Cu Kα).

Principal peaks in the range 2θ = 10–90°, low angle first:
2θ 30.1, rel. 100, (1 0 2)
2θ 32.5, rel. 45, (1 2 0)
2θ 37.3, rel. 17, (1 0 3)
2θ 46.6, rel. 10, (0 4 0)
2θ 46.7, rel. 10, (2 0 0)
2θ 51.8, rel. 13, (1 2 4)
2θ 56.5, rel. 34, (2 2 2)
2θ 60.5, rel. 10, (1 2 5)

Structure:
```
Dy4I4O3
1.0
3.8883 0.0000 0.0000
0.0000 7.8001 0.0000
0.0000 0.0000 9.1968
Dy I O
4 4 3
Cartesian
0.0000 0.0000 0.0000
0.0000 3.9001 0.0482
1.9441 1.9589 2.2749
1.9441 5.8412 2.2749
0.0000 0.0000 4.0757
0.0000 3.9001 4.1511
1.9441 1.9450 7.3653
1.9441 5.8552 7.3653
0.0000 1.8983 1.1490
0.0000 5.9018 1.1490
1.9441 3.9001 1.1439
```

---

Record 3
Structure and theoretical X-ray diffraction stick pattern of Tc4BN (the GGA-PBE geometry in OQMD; Cu Kα).

Principal peaks in the range 2θ = 10–90°, low angle first:
2θ 36.2, rel. 34, (0 0 4)
2θ 36.4, rel. 40, (1 0 0)
2θ 37.6, rel. 64, (1 0 1)
2θ 45.9, rel. 100, (1 0 3)
2θ 52.3, rel. 18, (1 0 4)
2θ 65.5, rel. 27, (1 1 0)
2θ 77.2, rel. 26, (1 1 4)
2θ 77.8, rel. 20, (1 0 7)

Structure:
```
Tc4BN
1.0
2.8496 0.0000 0.0000
-1.4248 2.4679 0.0000
0.0000 0.0000 9.9131
Tc B N
4 1 1
Cartesian
0.0000 0.0000 1.3825
0.0000 0.0000 8.5306
0.0000 1.6452 3.4947
0.0000 1.6452 6.4184
0.0000 0.0000 4.9566
0.0000 1.6452 0.0000
```

---

Record 4
Structure and theoretical X-ray diffraction stick pattern of LiZrB4 (the GGA-PBE geometry in OQMD; Cu Kα).

Principal peaks in the range 2θ = 10–90°, low angle first:
2θ 12.7, rel. 100, (0 0 1)
2θ 25.6, rel. 10, (0 0 2)
2θ 33.2, rel. 26, (1 0 0)
2θ 35.7, rel. 49, (1 0 1)
2θ 42.4, rel. 49, (1 0 2)
2θ 52.0, rel. 16, (1 0 3)
2θ 59.3, rel. 11, (1 1 0)
2θ 60.9, rel. 10, (1 1 1)

Structure:
```
LiZrB4
1.0
3.1162 0.0000 0.0000
-1.5581 2.6987 0.0000
0.0000 0.0000 6.9638
Li Zr B
1 1 4
Cartesian
0.0000 0.0000 0.0000
0.0000 0.0000 3.4819
0.0000 1.7991 1.7311
0.0000 1.7991 5.2327
1.5581 0.8996 1.7311
1.5581 0.8996 5.2327
```